Record 1
Li2Zr5As5: simulated X-ray powder pattern (Cu Kα, 1.54184 Å), based on a DFT-relaxed cell (GGA-PBE, Alexandria).
Peak positions follow from Bragg's law for the DFT cell and can differ from measured ones.

Top 8 peaks for 2θ from 10° to 90°, sorted by position:
- 26.6°, rel. 66
- 33.6°, rel. 100
- 34.9°, rel. 38
- 40.6°, rel. 71
- 41.0°, rel. 41
- 43.6°, rel. 38
- 48.9°, rel. 44
- 73.1°, rel. 43

abc: 6.993 6.993 6.993
angles: 101.87 101.87 126.06
Sites, in units of the cell vectors:
1 Li 0.000 0.500 0.500
2 Li 0.500 0.000 0.500
3 Zr 0.125 0.125 0.000
4 Zr 0.360 0.360 0.592
5 Zr 0.360 0.768 0.000
6 Zr 0.768 0.360 0.000
7 Zr 0.768 0.768 0.408
8 As 0.255 0.545 0.291
9 As 0.255 0.964 0.709
10 As 0.545 0.255 0.291
11 As 0.709 0.709 0.000
12 As 0.964 0.255 0.709



Record 2
Lu3As: simulated X-ray powder pattern (Cu Kα, 1.54184 Å), based on a DFT-relaxed cell (GGA-PBE, Alexandria).
Peak positions follow from Bragg's law for the DFT cell and can differ from measured ones.

Top 8 peaks for 2θ from 10° to 90°, sorted by position:
- 25.9°, rel. 77
- 33.5°, rel. 62
- 34.8°, rel. 100
- 36.5°, rel. 30
- 40.9°, rel. 29
- 46.7°, rel. 35
- 60.4°, rel. 30
- 60.7°, rel. 28

abc: 3.891 3.894 7.379
angles: 90.00 90.00 90.00
Sites, in units of the cell vectors:
1 Lu 0.000 0.000 0.000
2 Lu 0.000 0.500 0.360
3 Lu 0.500 0.500 0.720
4 As 0.500 0.000 0.361



Record 3
Mg2As: simulated X-ray powder pattern (Cu Kα, 1.54184 Å), based on a DFT-relaxed cell (GGA-PBE, Alexandria).
Peak positions follow from Bragg's law for the DFT cell and can differ from measured ones.

Top 8 peaks for 2θ from 10° to 90°, sorted by position:
- 10.2°, rel. 76
- 22.0°, rel. 100
- 26.1°, rel. 77
- 39.0°, rel. 87
- 39.4°, rel. 25
- 47.0°, rel. 20
- 47.9°, rel. 30
- 48.6°, rel. 23

abc: 8.900 8.900 4.577
angles: 90.00 90.00 152.52
Sites, in units of the cell vectors:
1 Mg 0.066 0.934 0.750
2 Mg 0.263 0.737 0.750
3 Mg 0.737 0.263 0.250
4 Mg 0.934 0.066 0.250
5 As 0.338 0.662 0.250
6 As 0.662 0.338 0.750



Record 4
MgAs5: simulated X-ray powder pattern (Cu Kα, 1.54184 Å), based on a DFT-relaxed cell (GGA-PBE, Alexandria).
Peak positions follow from Bragg's law for the DFT cell and can differ from measured ones.

Top 8 peaks for 2θ from 10° to 90°, sorted by position:
- 26.5°, rel. 22
- 34.1°, rel. 25
- 35.8°, rel. 31
- 38.7°, rel. 100
- 50.3°, rel. 16
- 61.1°, rel. 14
- 66.3°, rel. 20
- 72.9°, rel. 16

abc: 5.255 5.255 5.013
angles: 90.00 90.00 120.00
Sites, in units of the cell vectors:
1 Mg 0.000 0.000 0.000
2 As 0.000 0.715 0.500
3 As 0.285 0.285 0.500
4 As 0.333 0.667 0.000
5 As 0.667 0.333 0.000
6 As 0.715 0.000 0.500



Record 5
MgAs4: simulated X-ray powder pattern (Cu Kα, 1.54184 Å), based on a DFT-relaxed cell (GGA-PBE, Alexandria).
Peak positions follow from Bragg's law for the DFT cell and can differ from measured ones.

Top 8 peaks for 2θ from 10° to 90°, sorted by position:
- 17.1°, rel. 29
- 25.5°, rel. 25
- 27.5°, rel. 40
- 28.4°, rel. 100
- 32.1°, rel. 59
- 37.1°, rel. 33
- 43.4°, rel. 34
- 47.3°, rel. 31

abc: 5.475 5.475 16.101
angles: 90.00 90.00 90.00
Sites, in units of the cell vectors:
1 Mg 0.198 0.198 0.000
2 Mg 0.302 0.698 0.250
3 Mg 0.698 0.302 0.750
4 Mg 0.802 0.802 0.500
5 As 0.024 0.902 0.125
6 As 0.068 0.675 0.797
7 As 0.098 0.976 0.375
8 As 0.175 0.432 0.547
9 As 0.325 0.932 0.703
10 As 0.402 0.476 0.875
11 As 0.432 0.175 0.453
12 As 0.476 0.402 0.125
13 As 0.524 0.598 0.625
14 As 0.568 0.825 0.953
15 As 0.598 0.524 0.375
16 As 0.675 0.068 0.203
17 As 0.825 0.568 0.047
18 As 0.902 0.024 0.875
19 As 0.932 0.325 0.297
20 As 0.976 0.098 0.625



Record 6
Mg3As5: simulated X-ray powder pattern (Cu Kα, 1.54184 Å), based on a DFT-relaxed cell (GGA-PBE, Alexandria).
Peak positions follow from Bragg's law for the DFT cell and can differ from measured ones.

Top 8 peaks for 2θ from 10° to 90°, sorted by position:
- 22.0°, rel. 68
- 24.3°, rel. 52
- 25.9°, rel. 56
- 31.1°, rel. 54
- 33.2°, rel. 70
- 35.3°, rel. 48
- 36.8°, rel. 100
- 49.4°, rel. 47

abc: 8.120 8.120 8.388
angles: 95.37 95.37 138.28
Sites, in units of the cell vectors:
1 Mg 0.000 0.000 0.000
2 Mg 0.021 0.637 0.229
3 Mg 0.476 0.803 0.778
4 Mg 0.558 0.558 0.348
5 Mg 0.637 0.021 0.229
6 Mg 0.803 0.476 0.778
7 As 0.030 0.518 0.519
8 As 0.091 0.282 0.409
9 As 0.194 0.194 0.648
10 As 0.282 0.091 0.409
11 As 0.288 0.912 0.997
12 As 0.379 0.560 0.035
13 As 0.518 0.030 0.519
14 As 0.560 0.379 0.035
15 As 0.771 0.771 0.676
16 As 0.912 0.288 0.997



Record 7
Mg2As: simulated X-ray powder pattern (Cu Kα, 1.54184 Å), based on a DFT-relaxed cell (GGA-PBE, Alexandria).
Peak positions follow from Bragg's law for the DFT cell and can differ from measured ones.

Top 8 peaks for 2θ from 10° to 90°, sorted by position:
- 24.6°, rel. 92
- 29.9°, rel. 53
- 32.5°, rel. 30
- 39.6°, rel. 100
- 42.7°, rel. 55
- 44.4°, rel. 41
- 63.3°, rel. 28
- 76.2°, rel. 28

abc: 4.233 4.233 6.992
angles: 90.00 90.00 90.00
Sites, in units of the cell vectors:
1 Mg 0.250 0.250 0.151
2 Mg 0.250 0.750 0.500
3 Mg 0.750 0.250 0.500
4 Mg 0.750 0.750 0.849
5 As 0.250 0.250 0.760
6 As 0.750 0.750 0.240



Record 8
Mg4As5: simulated X-ray powder pattern (Cu Kα, 1.54184 Å), based on a DFT-relaxed cell (GGA-PBE, Alexandria).
Peak positions follow from Bragg's law for the DFT cell and can differ from measured ones.

Top 8 peaks for 2θ from 10° to 90°, sorted by position:
- 26.3°, rel. 40
- 36.3°, rel. 27
- 37.2°, rel. 92
- 37.7°, rel. 100
- 54.1°, rel. 30
- 67.2°, rel. 12
- 67.5°, rel. 24
- 76.6°, rel. 21

abc: 8.364 8.364 5.801
angles: 90.00 90.00 120.00
Sites, in units of the cell vectors:
1 Mg 0.000 0.000 0.000
2 Mg 0.000 0.000 0.500
3 Mg 0.000 0.374 0.250
4 Mg 0.000 0.626 0.750
5 Mg 0.374 0.000 0.250
6 Mg 0.374 0.374 0.750
7 Mg 0.626 0.000 0.750
8 Mg 0.626 0.626 0.250
9 As 0.000 0.293 0.750
10 As 0.000 0.707 0.250
11 As 0.293 0.000 0.750
12 As 0.293 0.293 0.250
13 As 0.333 0.667 0.000
14 As 0.333 0.667 0.500
15 As 0.667 0.333 0.000
16 As 0.667 0.333 0.500
17 As 0.707 0.000 0.250
18 As 0.707 0.707 0.750



Record 9
Mg4MnAs: simulated X-ray powder pattern (Cu Kα, 1.54184 Å), based on a DFT-relaxed cell (GGA-PBE, Alexandria).
Peak positions follow from Bragg's law for the DFT cell and can differ from measured ones.

Top 8 peaks for 2θ from 10° to 90°, sorted by position:
- 19.2°, rel. 17
- 31.6°, rel. 65
- 37.2°, rel. 100
- 38.9°, rel. 15
- 56.2°, rel. 24
- 59.9°, rel. 31
- 65.9°, rel. 22
- 78.2°, rel. 10

abc: 5.671 5.671 5.671
angles: 60.00 60.00 60.00
Sites, in units of the cell vectors:
1 Mg 0.125 0.125 0.125
2 Mg 0.125 0.125 0.625
3 Mg 0.125 0.625 0.125
4 Mg 0.625 0.125 0.125
5 Mn 0.750 0.750 0.750
6 As 0.500 0.500 0.500



Record 10
MgMnTeAs2: simulated X-ray powder pattern (Cu Kα, 1.54184 Å), based on a DFT-relaxed cell (GGA-PBE, Alexandria).
Peak positions follow from Bragg's law for the DFT cell and can differ from measured ones.

Top 8 peaks for 2θ from 10° to 90°, sorted by position:
- 16.2°, rel. 37
- 17.4°, rel. 70
- 23.8°, rel. 83
- 32.8°, rel. 100
- 35.1°, rel. 41
- 37.3°, rel. 42
- 40.9°, rel. 39
- 48.8°, rel. 64

abc: 5.468 5.468 5.110
angles: 90.00 90.00 90.00
Sites, in units of the cell vectors:
1 Mg 0.000 0.000 0.000
2 Mn 0.500 0.500 0.000
3 Te 0.000 0.000 0.500
4 As 0.000 0.500 0.500
5 As 0.500 0.000 0.500



Record 11
Mg3AsN: simulated X-ray powder pattern (Cu Kα, 1.54184 Å), based on a DFT-relaxed cell (GGA-PBE, Alexandria).
Peak positions follow from Bragg's law for the DFT cell and can differ from measured ones.

Top 8 peaks for 2θ from 10° to 90°, sorted by position:
- 19.6°, rel. 98
- 27.5°, rel. 100
- 28.3°, rel. 74
- 28.4°, rel. 78
- 35.4°, rel. 47
- 37.3°, rel. 77
- 38.9°, rel. 77
- 44.0°, rel. 53

abc: 8.085 5.645 8.036
angles: 90.00 109.77 90.00
Sites, in units of the cell vectors:
1 Mg 0.048 0.065 0.188
2 Mg 0.048 0.435 0.688
3 Mg 0.177 0.577 0.069
4 Mg 0.177 0.923 0.569
5 Mg 0.335 0.096 0.035
6 Mg 0.335 0.404 0.535
7 Mg 0.665 0.596 0.465
8 Mg 0.665 0.904 0.965
9 Mg 0.823 0.077 0.431
10 Mg 0.823 0.423 0.931
11 Mg 0.952 0.565 0.312
12 Mg 0.952 0.935 0.812
13 As 0.349 0.704 0.851
14 As 0.349 0.796 0.351
15 As 0.651 0.204 0.649
16 As 0.651 0.296 0.149
17 N 0.080 0.248 0.961
18 N 0.080 0.252 0.461
19 N 0.920 0.748 0.539
20 N 0.920 0.752 0.039



Record 12
MgZn2AsN4: simulated X-ray powder pattern (Cu Kα, 1.54184 Å), based on a DFT-relaxed cell (GGA-PBE, Alexandria).
Peak positions follow from Bragg's law for the DFT cell and can differ from measured ones.

Top 8 peaks for 2θ from 10° to 90°, sorted by position:
- 31.6°, rel. 42
- 32.0°, rel. 26
- 33.7°, rel. 54
- 35.9°, rel. 100
- 36.3°, rel. 43
- 56.7°, rel. 29
- 61.8°, rel. 32
- 67.7°, rel. 25

abc: 6.571 5.598 5.313
angles: 90.00 90.00 90.00
Sites, in units of the cell vectors:
1 Mg 0.000 0.162 0.000
2 Mg 0.500 0.838 0.500
3 Zn 0.249 0.331 0.506
4 Zn 0.251 0.669 0.006
5 Zn 0.749 0.669 0.006
6 Zn 0.751 0.331 0.506
7 As 0.000 0.823 0.505
8 As 0.500 0.177 0.005
9 N 0.000 0.135 0.397
10 N 0.000 0.816 0.850
11 N 0.228 0.674 0.388
12 N 0.272 0.326 0.888
13 N 0.500 0.184 0.350
14 N 0.500 0.865 0.897
15 N 0.728 0.326 0.888
16 N 0.772 0.674 0.388